Diffraction record for NiHg2. The X-ray powder pattern is calculated, not measured: it uses a crystal structure in Alexandria, relaxed with GGA-PBE and Cu Kα (λ = 1.5418 Å).
Kinematic intensities with the Lorentz-polarization factor, no thermal factor.

Cell and atoms:
a = 5.7301 Å, b = 5.7301 Å, c = 4.1038 Å
α = 90.00°, β = 90.00°, γ = 120.00°
Space group P-62m (No. 189)
Symmetry-distinct sites (fractional):
Ni 0.3333 0.6667 0.0000 x2
Hg 0.0000 0.0000 0.0000 x1
Hg 0.0000 0.6044 0.5000 x3

Principal peaks in the range 10 to 90 degrees two-theta, in order of rising 2θ:
Position (°2θ)  d (Å)  I_rel
28.2  3.162  25
31.2  2.865  31
36.2  2.481  20
38.3  2.349  100
44.1  2.052  18
55.6  1.654  15
72.4  1.305  19
77.3  1.234  13

Diffraction record for Be2CrTe. The X-ray powder pattern is calculated, not measured: it uses a crystal structure in Alexandria, relaxed with GGA-PBE and Cu Kα (λ = 1.5418 Å).
Kinematic intensities with the Lorentz-polarization factor, no thermal factor.

Cell and atoms:
a = 5.1832 Å, b = 5.2281 Å, c = 7.9794 Å
α = 90.00°, β = 90.00°, γ = 90.00°
Space group Fmmm (No. 69)
Symmetry-distinct sites (fractional):
Be 0.2500 0.2500 0.2500 x8
Cr 0.0000 0.0000 0.0000 x4
Te 0.0000 0.0000 0.5000 x4

Principal peaks in the range 10 to 90 degrees two-theta, in order of rising 2θ:
Position (°2θ)  d (Å)  I_rel
22.3  3.990  100
26.7  3.342  45
34.3  2.614  33
34.6  2.592  33
41.3  2.187  52
41.6  2.173  51
49.5  1.840  30
54.9  1.671  33

Diffraction record for RbCuSb2H2Se4O. The X-ray powder pattern is calculated, not measured: it uses a crystal structure in Alexandria, relaxed with GGA-PBE and Cu Kα (λ = 1.5418 Å).
Kinematic intensities with the Lorentz-polarization factor, no thermal factor.

Cell and atoms:
a = 11.2388 Å, b = 4.1117 Å, c = 21.5773 Å
α = 90.00°, β = 90.00°, γ = 90.00°
Space group Pnma (No. 62)
Symmetry-distinct sites (fractional):
Rb 0.1422 0.2500 0.0791 x4
Cu 0.0972 0.2500 0.2757 x4
Sb 0.0383 0.7500 0.4195 x4
Sb 0.1228 0.2500 0.7611 x4
H 0.1162 0.0658 0.9220 x8
Se 0.0727 0.7500 0.6512 x4
Se 0.1009 0.7500 0.2094 x4
Se 0.1414 0.2500 0.5029 x4
Se 0.2074 0.7500 0.8361 x4
O 0.0806 0.2500 0.9449 x4

Principal peaks in the range 10 to 90 degrees two-theta, in order of rising 2θ:
Position (°2θ)  d (Å)  I_rel
26.8  3.321  31
28.4  3.140  100
30.0  2.976  50
31.1  2.878  47
31.7  2.827  79
40.9  2.207  58
44.0  2.056  50
48.3  1.884  27

Diffraction record for Tm2Zr2Zn. The X-ray powder pattern is calculated, not measured: it uses a crystal structure in Alexandria, relaxed with GGA-PBE and Cu Kα (λ = 1.5418 Å).
Kinematic intensities with the Lorentz-polarization factor, no thermal factor.

Cell and atoms:
a = 3.3300 Å, b = 3.3300 Å, c = 21.4496 Å
α = 90.00°, β = 90.00°, γ = 90.00°
Space group I4/mmm (No. 139)
Symmetry-distinct sites (fractional):
Tm 0.0000 0.0000 0.0905 x4
Zr 0.0000 0.0000 0.3007 x4
Zn 0.0000 0.0000 0.5000 x2

Principal peaks in the range 10 to 90 degrees two-theta, in order of rising 2θ:
Position (°2θ)  d (Å)  I_rel
27.1  3.291  12
34.1  2.631  100
38.2  2.355  38
42.1  2.145  12
55.2  1.665  13
58.2  1.586  18
66.5  1.407  28
71.8  1.315  17

Diffraction record for Cs2KSe2O6. The X-ray powder pattern is calculated, not measured: it uses a crystal structure in Alexandria, relaxed with GGA-PBE and Cu Kα (λ = 1.5418 Å).
Kinematic intensities with the Lorentz-polarization factor, no thermal factor.

Cell and atoms:
a = 11.5111 Å, b = 6.6452 Å, c = 8.6058 Å
α = 90.00°, β = 120.93°, γ = 90.00°
Space group C2/m (No. 12)
Symmetry-distinct sites (fractional):
Cs 0.2410 0.0000 0.2730 x4
K 0.0000 0.0000 0.5000 x2
Se 0.0500 0.5000 0.2112 x4
O 0.0051 0.2927 0.7291 x8
O 0.2226 0.5000 0.3373 x4

Principal peaks in the range 10 to 90 degrees two-theta, in order of rising 2θ:
Position (°2θ)  d (Å)  I_rel
16.1  5.513  19
22.7  3.912  37
24.1  3.691  46
26.9  3.318  100
31.2  2.867  23
35.1  2.555  21
36.4  2.469  31
41.6  2.171  19